# DyY2Zn4Si4
Simulated X-ray diffraction stick pattern, Cu Kα. Input: the PBE geometry in OQMD.

Main lines, sorted by position (2θ = 5–70°):
- (0 1 3), 24.30°, rel. 15
- (0 0 8), 29.04°, rel. 11
- (1 0 7), 33.88°, rel. 35
- (1 1 4), 34.50°, rel. 100
- (0 2 0), 44.23°, rel. 23
- (2 0 0), 45.10°, rel. 19
- (0 1 11), 46.26°, rel. 20
- (1 2 7), 56.86°, rel. 15
- (2 2 0), 65.01°, rel. 14
- (2 1 11), 66.59°, rel. 13

Atomic structure:
a = 4.021 Å, b = 4.095 Å, c = 24.596 Å
α = 90.00°, β = 90.00°, γ = 90.00°
Space group Immm (No. 71)
Inequivalent atoms, fractional coordinates:
Dy (0.000, 0.000, 0.000)
Y (0.000, 0.500, 0.143)
Zn (0.000, 0.000, 0.250)
Zn (0.000, 0.500, 0.406)
Si (0.000, 0.000, 0.453)
Si (0.000, 0.500, 0.311)